# CdAs2P
Simulated PXRD pattern, Cu Kα. Input: a structure optimized by DFT (PBE).
No peak broadening, texture or thermal motion is included.

Structural model:
Unit cell a=4.750 b=4.750 c=4.750 alpha=118.64 beta=118.64 gamma=92.38
Atoms (fractional coordinates):
Cd 0.000 0.000 0.000
As 0.500 0.500 0.000
As 0.750 0.250 0.500
P 0.250 0.750 0.500

Most intense lines, 2θ = 10–80°, in order of rising 2θ:
2θ/deg	I_rel
22.79	14
26.00	10
37.10	53
37.92	100
43.98	5
53.47	18
55.93	8
67.41	35
69.03	16
79.02	6